# 1
# Ba2Tl3Sn
Calculated X-ray diffraction stick pattern, Cu Kα (λ = 1.5418 Å). Input: a structure optimized by DFT (GGA-PBE).
Neutral-atom scattering factors, no anomalous dispersion.

Cell and atoms:
```
data_Ba2Tl3Sn
_chemical_formula_sum 'Ba4 Tl6 Sn2'
_cell_length_a 12.862
_cell_length_b 5.137
_cell_length_c 8.381
_cell_angle_alpha 90.00
_cell_angle_beta 129.53
_cell_angle_gamma 90.00
_space_group_name_H-M_alt 'C 1 m 1'
_space_group_IT_number 8
loop_
_space_group_symop_operation_xyz
'x,y,z'
'x,-y,z'
'x+1/2,y+1/2,z'
'x+1/2,-y+1/2,z'
loop_
_atom_site_label
_atom_site_type_symbol
_atom_site_fract_x
_atom_site_fract_y
_atom_site_fract_z
Ba1 Ba 0.000 0.000 0.000
Ba2 Ba 0.107 0.000 0.605
Tl1 Tl 0.213 0.500 0.985
Tl2 Tl 0.219 0.500 0.376
Tl3 Tl 0.387 0.000 0.223
Sn1 Sn 0.394 0.000 0.610
```

Main lines, sorted by position (2θ = 10–90°):
27.02°, I 29; 27.30°, I 40; 28.15°, I 39; 28.80°, I 100; 32.19°, I 100; 33.50°, I 34; 34.93°, I 53; 41.95°, I 22; 49.18°, I 28; 52.94°, I 29

=====

# 2
# CaIn4Ge4O14
Calculated X-ray diffraction stick pattern, Cu Kα (λ = 1.5418 Å). Input: a structure optimized by DFT (GGA-PBE).
Neutral-atom scattering factors, no anomalous dispersion.

Cell and atoms:
```
data_CaIn4Ge4O14
_chemical_formula_sum 'Ca3 In12 Ge12 O42'
_cell_length_a 7.1237
_cell_length_b 7.1237
_cell_length_c 18.7927
_cell_angle_alpha 90.00
_cell_angle_beta 90.00
_cell_angle_gamma 120.00
_space_group_name_H-M_alt 'R 3 m'
_space_group_IT_number 160
_space_group_name_Hall 'R 3 -2"'
loop_
_atom_site_label
_atom_site_type_symbol
_atom_site_fract_x
_atom_site_fract_y
_atom_site_fract_z
Ca1 Ca 0.0000 0.0000 0.0000
In1 In 0.0000 0.0000 0.2473
In2 In 0.1816 0.3633 0.0961
Ge1 Ge 0.0000 0.0000 0.7247
Ge2 Ge 0.0041 0.5021 0.2331
O1 O 0.0000 0.0000 0.1216
O2 O 0.0000 0.0000 0.3649
O3 O 0.0574 0.5287 0.3395
O4 O 0.0656 0.5328 0.5830
O5 O 0.1957 0.3914 0.4595
O6 O 0.2014 0.4028 0.2136
```

Main lines, sorted by position (2θ = 10–90°):
28.50°, I 31; 30.50°, I 100; 34.79°, I 49; 48.72°, I 25; 51.30°, I 38; 59.73°, I 20; 60.87°, I 13; 63.49°, I 14; 83.56°, I 9; 85.90°, I 12

=====

# 3
# LiSn3Br7
Calculated X-ray diffraction stick pattern, Cu Kα (λ = 1.5418 Å). Input: a structure optimized by DFT (GGA-PBE).
Neutral-atom scattering factors, no anomalous dispersion.

Cell and atoms:
```
data_LiSn3Br7
_chemical_formula_sum 'Li2 Sn6 Br14'
_cell_length_a 9.833
_cell_length_b 10.550
_cell_length_c 8.718
_cell_angle_alpha 90.00
_cell_angle_beta 123.35
_cell_angle_gamma 90.00
_space_group_name_H-M_alt 'C 1 2/m 1'
_space_group_IT_number 12
loop_
_space_group_symop_operation_xyz
'x,y,z'
'-x,-y,-z'
'-x,y,-z'
'x,-y,z'
'x+1/2,y+1/2,z'
'-x+1/2,-y+1/2,-z'
'-x+1/2,y+1/2,-z'
'x+1/2,-y+1/2,z'
loop_
_atom_site_label
_atom_site_type_symbol
_atom_site_fract_x
_atom_site_fract_y
_atom_site_fract_z
Li1 Li 0.000 0.000 0.000
Sn1 Sn 0.000 0.272 0.500
Sn2 Sn 0.000 0.500 0.000
Br1 Br 0.000 0.000 0.500
Br2 Br 0.130 0.271 0.251
Br3 Br 0.194 0.500 0.830
```

Main lines, sorted by position (2θ = 10–90°):
13.66°, I 36; 20.79°, I 78; 21.97°, I 100; 32.65°, I 60; 33.99°, I 66; 34.84°, I 65; 35.29°, I 85; 36.56°, I 59; 42.24°, I 47; 50.78°, I 38

=====

- Which formula does entry 1 have?
  Ba2Tl3Sn

=====

- What is the formula in the second record?
  CaIn4Ge4O14